[1]
This entry pairs a crystal structure of Li3MnVP3O12 with its simulated XRD peak list. Radiation: Cu Kα. Structure: a PBE+U-relaxed structure.
Intensities are scaled so that the largest is 100.

Cell and atoms:
a = 8.336 Å, b = 8.409 Å, c = 9.250 Å
α = 63.82°, β = 63.89°, γ = 60.58°
Atoms (fractional coordinates):
1 Li 0.042 0.268 0.401
2 Li 0.204 0.256 0.086
3 Li 0.430 0.681 0.134
4 Li 0.570 0.319 0.866
5 Li 0.796 0.744 0.914
6 Li 0.958 0.732 0.599
7 Mn 0.364 0.856 0.434
8 Mn 0.636 0.144 0.566
9 V 0.154 0.666 0.037
10 V 0.846 0.334 0.963
11 P 0.042 0.957 0.242
12 P 0.233 0.467 0.754
13 P 0.448 0.270 0.241
14 P 0.552 0.730 0.759
15 P 0.767 0.533 0.246
16 P 0.958 0.043 0.758
17 O 0.007 0.165 0.119
18 O 0.014 0.489 0.824
19 O 0.024 0.835 0.165
20 O 0.101 0.044 0.585
21 O 0.238 0.634 0.595
22 O 0.250 0.874 0.246
23 O 0.281 0.484 0.897
24 O 0.328 0.490 0.179
25 O 0.332 0.163 0.255
26 O 0.360 0.771 0.906
27 O 0.369 0.269 0.740
28 O 0.481 0.225 0.403
29 O 0.519 0.775 0.597
30 O 0.631 0.731 0.260
31 O 0.640 0.229 0.094
32 O 0.668 0.837 0.745
33 O 0.672 0.510 0.821
34 O 0.719 0.516 0.103
35 O 0.750 0.126 0.754
36 O 0.762 0.366 0.405
37 O 0.899 0.956 0.415
38 O 0.976 0.165 0.835
39 O 0.986 0.511 0.176
40 O 0.993 0.835 0.881

The 8 most intense peaks (2θ = 10–80°), by angle:
index	2theta	intensity
0 1 1	14.3	100
1 0 -1	19.2	59
1 1 2	19.4	29
1 2 0	23.8	76
2 1 0	24.0	53
2 1 2	24.2	26
0 2 2	28.7	51
1 -1 2	30.9	53

[2]
This entry pairs a crystal structure of Li2MnVP2O8 with its simulated XRD peak list. Radiation: Cu Kα. Structure: a PBE+U-relaxed structure.
Intensities are scaled so that the largest is 100.

Cell and atoms:
a = 4.786 Å, b = 6.144 Å, c = 10.557 Å
α = 90.00°, β = 90.10°, γ = 90.00°
Atoms (fractional coordinates):
1 Li 0.000 0.000 0.000
2 Li 0.000 0.500 0.000
3 Li 0.500 0.000 0.500
4 Li 0.500 0.500 0.500
5 Mn 0.023 0.250 0.722
6 Mn 0.977 0.750 0.278
7 V 0.480 0.250 0.223
8 V 0.520 0.750 0.777
9 P 0.089 0.750 0.593
10 P 0.411 0.750 0.090
11 P 0.589 0.250 0.910
12 P 0.911 0.250 0.407
13 O 0.208 0.750 0.456
14 O 0.224 0.549 0.662
15 O 0.224 0.951 0.662
16 O 0.233 0.250 0.402
17 O 0.268 0.250 0.905
18 O 0.277 0.548 0.159
19 O 0.277 0.952 0.159
20 O 0.289 0.750 0.953
21 O 0.711 0.250 0.047
22 O 0.723 0.048 0.841
23 O 0.723 0.452 0.841
24 O 0.732 0.750 0.095
25 O 0.767 0.750 0.598
26 O 0.776 0.049 0.338
27 O 0.776 0.451 0.338
28 O 0.792 0.250 0.544

The 8 most intense peaks (2θ = 10–80°), by angle:
index	2theta	intensity
1 0 -1	20.4	54
0 1 2	22.2	26
1 1 1	25.1	70
0 2 0	29.1	71
1 1 3	34.9	100
1 2 -1	35.8	29
2 2 2	51.4	34
0 2 6	60.6	29

[3]
This entry pairs a crystal structure of Li3MnVP3O12 with its simulated XRD peak list. Radiation: Cu Kα. Structure: a PBE+U-relaxed structure.
Intensities are scaled so that the largest is 100.

Cell and atoms:
a = 8.362 Å, b = 8.436 Å, c = 9.249 Å
α = 63.20°, β = 63.80°, γ = 60.47°
Atoms (fractional coordinates):
1 Li 0.000 0.000 0.000
2 Li 0.089 0.515 0.780
3 Li 0.259 0.509 0.460
4 Li 0.502 0.944 0.489
5 Li 0.624 0.582 0.234
6 Li 0.815 0.177 0.517
7 Mn 0.414 0.101 0.812
8 Mn 0.691 0.396 0.942
9 V 0.219 0.916 0.403
10 V 0.904 0.596 0.340
11 P 0.009 0.302 0.137
12 P 0.105 0.205 0.616
13 P 0.291 0.715 0.126
14 P 0.502 0.518 0.617
15 P 0.606 0.988 0.130
16 P 0.829 0.783 0.617
17 O 0.026 0.425 0.212
18 O 0.047 0.759 0.544
19 O 0.053 0.094 0.267
20 O 0.069 0.089 0.547
21 O 0.070 0.415 0.491
22 O 0.074 0.734 0.196
23 O 0.152 0.297 0.965
24 O 0.292 0.885 0.966
25 O 0.315 0.119 0.616
26 O 0.341 0.733 0.266
27 O 0.382 0.411 0.637
28 O 0.386 0.739 0.543
29 O 0.413 0.034 0.277
30 O 0.426 0.518 0.112
31 O 0.533 0.482 0.778
32 O 0.571 0.017 0.972
33 O 0.696 0.462 0.475
34 O 0.700 0.988 0.624
35 O 0.718 0.101 0.105
36 O 0.720 0.768 0.206
37 O 0.771 0.753 0.491
38 O 0.801 0.379 0.137
39 O 0.815 0.626 0.786
40 O 0.966 0.211 0.791

The 8 most intense peaks (2θ = 10–80°), by angle:
index	2theta	intensity
0 1 1	14.2	74
1 0 -1	19.2	51
1 1 2	19.4	32
-1 1 1	23.8	25
1 2 2	23.9	100
2 1 2	24.2	24
2 2 0	28.7	24
1 2 -1	31.0	47